For Na2Mn2PO6, a structure optimized by DFT (GGA+U) gives the computed X-ray powder pattern in this record (Cu Ka).

Most intense lines, 2θ from 10° to 80°, most intense first:
two_theta	d_spacing	I/Imax
16.29	5.440	1000
42.69	2.118	551
42.04	2.149	283
58.20	1.585	137
32.93	2.720	133
64.62	1.442	131
37.66	2.389	122
54.11	1.695	96
36.53	2.460	85
69.07	1.360	78
58.92	1.567	69
64.91	1.437	66

```
data_Na2Mn2PO6
_chemical_formula_sum 'Na2 Mn2 P1 O6'
_symmetry_space_group_name_H-M 'P 1'
_symmetry_Int_Tables_number 1
_cell_length_a 4.983
_cell_length_b 4.983
_cell_length_c 5.719
_cell_angle_alpha 98.91
_cell_angle_beta 98.91
_cell_angle_gamma 119.73
loop_
_symmetry_equiv_pos_as_xyz
'x,y,z'
loop_
_atom_site_label
_atom_site_type_symbol
_atom_site_fract_x
_atom_site_fract_y
_atom_site_fract_z
Na1 Na 0.170 0.830 0.000
Na2 Na 0.830 0.170 0.000
Mn1 Mn 0.332 0.668 0.500
Mn2 Mn 0.668 0.332 0.500
P1 P 0.000 0.000 0.500
O1 O 0.062 0.357 0.681
O2 O 0.226 0.226 0.322
O3 O 0.357 0.062 0.681
O4 O 0.643 0.938 0.319
O5 O 0.774 0.774 0.678
O6 O 0.938 0.643 0.319
```